1.
Starting from the GGA-PBE geometry in Alexandria, the powder X-ray diffraction pattern of ErU4P5 was computed for Cu Kα, 1.54184 Å.
Lines closer than 0.1° are merged.

Top 10 peaks for 5° ≤ 2θ ≤ 70°, in order of falling intensity:
2theta	intensity
32.12	100
27.63	54
27.81	53
46.09	49
54.70	26
54.42	18
57.06	13
57.46	13
45.79	13
46.25	12

Atomic structure:
Unit cell a=10.477 b=10.477 c=10.477 alpha=158.40 beta=149.20 gamma=37.93
Atoms (fractional coordinates):
Er1 0.000 0.000 0.000
U1 0.201 0.201 0.000
U2 0.400 0.400 0.000
U3 0.600 0.600 0.000
U4 0.799 0.799 0.000
P1 0.101 0.601 0.500
P2 0.301 0.801 0.500
P3 0.500 0.000 0.500
P4 0.699 0.199 0.500
P5 0.899 0.399 0.500

---

2.
Starting from the GGA-PBE geometry in Alexandria, the powder X-ray diffraction pattern of U3Tc4Ge4 was computed for Cu Kα, 1.54184 Å.
Lines closer than 0.1° are merged.

Top 10 peaks for 5° ≤ 2θ ≤ 70°, in order of falling intensity:
2theta	intensity
38.61	100
41.39	24
21.91	22
43.39	19
39.14	14
61.52	14
19.28	10
58.28	9
49.54	9
10.61	8

Atomic structure:
Unit cell a=8.341 b=5.935 c=5.935 alpha=43.12 beta=90.00 gamma=90.00
Atoms (fractional coordinates):
U1 0.000 0.000 0.000
U2 0.268 0.149 0.149
U3 0.732 0.149 0.149
Tc1 0.000 0.316 0.316
Tc2 0.262 0.839 0.839
Tc3 0.500 0.323 0.323
Tc4 0.738 0.839 0.839
Ge1 0.000 0.701 0.701
Ge2 0.247 0.458 0.458
Ge3 0.500 0.692 0.692
Ge4 0.753 0.458 0.458

---

3.
Starting from the GGA-PBE geometry in Alexandria, the powder X-ray diffraction pattern of ReTcHRu2 was computed for Cu Kα, 1.54184 Å.
Lines closer than 0.1° are merged.

Top 10 peaks for 5° ≤ 2θ ≤ 70°, in order of falling intensity:
2theta	intensity
40.06	100
46.83	32
67.85	21
46.14	17
68.39	10
22.92	6
32.41	5
22.60	2
32.64	2
58.10	2

Atomic structure:
Unit cell a=3.880 b=3.880 c=3.935 alpha=90.00 beta=90.00 gamma=90.00
Atoms (fractional coordinates):
Re1 0.000 0.000 0.000
Tc1 0.500 0.500 0.000
H1 0.500 0.500 0.500
Ru1 0.000 0.500 0.500
Ru2 0.500 0.000 0.500

---

4.
Starting from the GGA-PBE geometry in Alexandria, the powder X-ray diffraction pattern of La2CdSb4Pd3 was computed for Cu Kα, 1.54184 Å.
Lines closer than 0.1° are merged.

Top 10 peaks for 5° ≤ 2θ ≤ 70°, in order of falling intensity:
2theta	intensity
31.69	100
39.30	61
30.40	45
44.05	28
42.01	27
66.51	23
60.49	22
50.48	21
56.80	20
55.72	9

Atomic structure:
Unit cell a=4.585 b=4.585 c=11.499 alpha=90.00 beta=90.00 gamma=90.00
Atoms (fractional coordinates):
La1 0.000 0.500 0.247
La2 0.500 0.000 0.753
Cd1 0.000 0.000 0.500
Sb1 0.000 0.000 0.000
Sb2 0.000 0.500 0.645
Sb3 0.500 0.000 0.355
Sb4 0.500 0.500 0.000
Pd1 0.000 0.500 0.872
Pd2 0.500 0.000 0.128
Pd3 0.500 0.500 0.500

---

5.
Starting from the GGA-PBE geometry in Alexandria, the powder X-ray diffraction pattern of Tc7Rh6 was computed for Cu Kα, 1.54184 Å.
Lines closer than 0.1° are merged.

Top 10 peaks for 5° ≤ 2θ ≤ 70°, in order of falling intensity:
2theta	intensity
41.29	100
39.50	54
42.53	53
35.81	52
45.04	49
41.73	47
48.17	26
68.98	25
43.83	23
40.37	23

Atomic structure:
Unit cell a=9.395 b=9.395 c=9.395 alpha=30.96 beta=30.96 gamma=30.96
Atoms (fractional coordinates):
Tc1 0.000 0.000 0.000
Tc2 0.090 0.090 0.583
Tc3 0.090 0.583 0.090
Tc4 0.417 0.910 0.910
Tc5 0.583 0.090 0.090
Tc6 0.910 0.417 0.910
Tc7 0.910 0.910 0.417
Rh1 0.162 0.162 0.162
Rh2 0.351 0.351 0.351
Rh3 0.454 0.454 0.454
Rh4 0.546 0.546 0.546
Rh5 0.649 0.649 0.649
Rh6 0.838 0.838 0.838

---

6.
Starting from the GGA-PBE geometry in Alexandria, the powder X-ray diffraction pattern of ZrH2Br4 was computed for Cu Kα, 1.54184 Å.
Lines closer than 0.1° are merged.

Top 10 peaks for 5° ≤ 2θ ≤ 70°, in order of falling intensity:
2theta	intensity
27.81	100
29.31	83
12.79	80
13.14	77
25.73	70
31.04	68
13.80	47
26.45	39
45.89	37
44.96	36

Atomic structure:
Unit cell a=3.602 b=7.502 c=7.846 alpha=114.06 beta=101.86 gamma=94.35
Atoms (fractional coordinates):
Zr1 0.000 0.000 0.000
H1 0.431 0.207 0.774
H2 0.569 0.793 0.226
Br1 0.070 0.796 0.224
Br2 0.349 0.737 0.756
Br3 0.651 0.263 0.244
Br4 0.930 0.204 0.776

---

7.
Starting from the GGA-PBE geometry in Alexandria, the powder X-ray diffraction pattern of La4ZrAs5 was computed for Cu Kα, 1.54184 Å.
Lines closer than 0.1° are merged.

Top 10 peaks for 5° ≤ 2θ ≤ 70°, in order of falling intensity:
2theta	intensity
29.68	100
42.33	75
29.49	51
52.55	38
42.47	36
69.82	31
25.58	19
69.48	17
61.62	11
61.20	7

Atomic structure:
Unit cell a=7.381 b=7.381 c=7.381 alpha=99.69 beta=99.69 gamma=131.55
Atoms (fractional coordinates):
La1 0.096 0.700 0.796
La2 0.300 0.096 0.396
La3 0.700 0.904 0.604
La4 0.904 0.300 0.204
Zr1 0.495 0.495 0.000
As1 0.004 0.004 0.000
As2 0.218 0.405 0.623
As3 0.405 0.782 0.187
As4 0.595 0.218 0.813
As5 0.782 0.595 0.377

---

8.
Starting from the GGA-PBE geometry in Alexandria, the powder X-ray diffraction pattern of Rb6TeO2 was computed for Cu Kα, 1.54184 Å.
Lines closer than 0.1° are merged.

Top 10 peaks for 5° ≤ 2θ ≤ 70°, in order of falling intensity:
2theta	intensity
27.18	100
7.54	48
31.97	44
54.12	29
44.78	23
32.19	21
30.51	17
45.84	16
17.56	14
56.07	12

Atomic structure:
Unit cell a=5.598 b=5.598 c=11.720 alpha=90.00 beta=90.00 gamma=90.00
Atoms (fractional coordinates):
Rb1 0.000 0.000 0.000
Rb2 0.000 0.000 0.500
Rb3 0.000 0.500 0.217
Rb4 0.000 0.500 0.783
Rb5 0.500 0.000 0.217
Rb6 0.500 0.000 0.783
Te1 0.500 0.500 0.000
O1 0.000 0.000 0.268
O2 0.000 0.000 0.732